1.
Starting from a cell relaxed with PBE, the powder X-ray diffraction pattern of Ti4AlNi2 was calculated for λ = 1.5418 Å (Cu Kα).
Peak positions follow from Bragg's law for the DFT cell and can differ from measured ones.

Crystal structure
Cell: 8.2576 8.2576 8.2576 Å, 29.07 29.07 29.07°
Element x y z (fractional)
Ti  0.1159  0.1159  0.1159
Ti  0.2954  0.2954  0.2954
Ti  0.7046  0.7046  0.7046
Ti  0.8841  0.8841  0.8841
Al  0.5000  0.5000  0.5000
Ni  0.3978  0.3978  0.3978
Ni  0.6022  0.6022  0.6022

Peak list (6 most intense, 2θ from 10° to 90°, by intensity)
2θ/deg  intensity
43.68  100
45.87  67
29.08  49
25.09  30
65.21  26
36.47  22

=====

2.
Starting from a cell relaxed with PBE, the powder X-ray diffraction pattern of TiAl3Ni4 was calculated for λ = 1.5418 Å (Cu Kα).
Peak positions follow from Bragg's law for the DFT cell and can differ from measured ones.

Crystal structure
Cell: 4.1027 4.1027 5.9397 Å, 90.00 90.00 90.00°
Element x y z (fractional)
Ti  0.0000  0.0000  0.0000
Al  0.0000  0.0000  0.5000
Al  0.5000  0.5000  0.0000
Al  0.5000  0.5000  0.5000
Ni  0.0000  0.5000  0.2520
Ni  0.0000  0.5000  0.7480
Ni  0.5000  0.0000  0.2520
Ni  0.5000  0.0000  0.7480

Peak list (6 most intense, 2θ from 10° to 90°, by intensity)
2θ/deg  intensity
43.61  100
44.15  48
80.85  29
30.82  15
79.72  15
64.21  15